No. 1
# TiAuCl
Calculated powder XRD pattern, Cu Ka. Input: a GGA-PBE-relaxed structure.

Structure:
```
3
Lattice="0.0000 3.0933 3.0933 3.0933 0.0000 3.0933 3.0933 3.0933 0.0000" Properties=species:S:1:pos:R:3 pbc="T T T"
Ti 0.0000 0.0000 0.0000
Au 3.0933 3.0933 3.0933
Cl 1.5466 1.5466 1.5466
```

Principal peaks in the range 10° ≤ 2θ ≤ 90°, sorted by position:
Position (°2θ)	Rel. int.
24.93	74
28.86	73
41.28	100
48.82	39
67.74	27
75.25	33

=====

No. 2
# CoAu4
Calculated powder XRD pattern, Cu Ka. Input: a GGA-PBE-relaxed structure.

Structure:
```
5
Lattice="1.4528 0.8388 11.6661 -1.4528 0.8388 11.6661 0.0000 -1.6775 11.6661" Properties=species:S:1:pos:R:3 pbc="T T T"
Co 0.0000 0.0000 0.0000
Au 0.0000 0.0000 7.0795
Au 0.0000 0.0000 13.7659
Au 0.0000 0.0000 21.2323
Au 0.0000 0.0000 27.9186
```

Principal peaks in the range 10° ≤ 2θ ≤ 90°, sorted by position:
Position (°2θ)	Rel. int.
38.00	100
38.59	27
44.34	61
64.10	22
64.91	15
77.38	21

=====

No. 3
# CrAu4
Calculated powder XRD pattern, Cu Ka. Input: a GGA-PBE-relaxed structure.

Structure:
```
5
Lattice="-3.2651 3.2651 2.0546 3.2651 -3.2651 2.0546 3.2651 3.2651 -2.0546" Properties=species:S:1:pos:R:3 pbc="T T T"
Cr 0.0000 0.0000 0.0000
Au 2.5952 1.3286 0.0000
Au 1.9365 -0.6699 2.0546
Au 1.3286 3.9350 0.0000
Au 0.6699 1.9365 2.0547
```

Principal peaks in the range 10° ≤ 2θ ≤ 90°, sorted by position:
Position (°2θ)	Rel. int.
37.79	100
43.84	33
44.07	16
63.92	22
76.54	25
76.87	13